Diffraction record for K3TlF6. The XRD peak list is simulated, not measured: it uses a cell relaxed with PBE and λ = 1.5418 Å (Cu Kα).
Kinematic intensities with the Lorentz-polarization factor, no thermal factor.

Largest 8 diffraction maxima, by intensity, 15° ≤ 2θ ≤ 90°:
hkl 2 2 0, 27.26 deg, rel. 100
hkl 1 1 1, 16.59 deg, rel. 77
hkl 4 2 2, 48.18 deg, rel. 52
hkl 2 0 0, 19.18 deg, rel. 48
hkl 3 1 1, 32.08 deg, rel. 36
hkl 4 0 0, 38.93 deg, rel. 34
hkl 6 2 4, 77.14 deg, rel. 23
hkl 4 2 0, 43.75 deg, rel. 23

Structural model:
a b c (Å): 9.2533 9.2533 9.2533
angles (deg): 90.00 90.00 90.00
Atoms (fractional coordinates):
K 0.0000 0.0000 0.0000
K 0.0000 0.5000 0.5000
K 0.2500 0.2500 0.2500
K 0.2500 0.2500 0.7500
K 0.2500 0.7500 0.2500
K 0.2500 0.7500 0.7500
K 0.5000 0.0000 0.5000
K 0.5000 0.5000 0.0000
K 0.7500 0.2500 0.2500
K 0.7500 0.2500 0.7500
K 0.7500 0.7500 0.2500
K 0.7500 0.7500 0.7500
Tl 0.0000 0.0000 0.5000
Tl 0.0000 0.5000 0.0000
Tl 0.5000 0.0000 0.0000
Tl 0.5000 0.5000 0.5000
F 0.0419 0.5555 0.7724
F 0.0419 0.9445 0.7276
F 0.0555 0.2276 0.5419
F 0.0555 0.2724 0.9581
F 0.2276 0.5419 0.0555
F 0.2276 0.9581 0.4445
F 0.2724 0.5419 0.4445
F 0.2724 0.9581 0.0555
F 0.4445 0.2276 0.9581
F 0.4445 0.2724 0.5419
F 0.4581 0.5555 0.7276
F 0.4581 0.9445 0.7724
F 0.5419 0.0555 0.2276
F 0.5419 0.4445 0.2724
F 0.5555 0.7276 0.4581
F 0.5555 0.7724 0.0419
F 0.7276 0.0419 0.9445
F 0.7276 0.4581 0.5555
F 0.7724 0.0419 0.5555
F 0.7724 0.4581 0.9445
F 0.9445 0.7276 0.0419
F 0.9445 0.7724 0.4581
F 0.9581 0.0555 0.2724
F 0.9581 0.4445 0.2276